CsAgBiCl6: simulated powder diffraction line list (Cu Kα (λ = 1.5418 Å)), based on a structure optimized by DFT (PBE).

Largest 6 diffraction maxima, sorted by position, 10 to 80 degrees two-theta:
11.6°, I 50, hkl 0 0 1; 17.8°, I 54, hkl 0 1 -1; 18.8°, I 100, hkl -1 1 1; 25.4°, I 29, hkl 2 -1 0; 32.7°, I 24, hkl 1 1 -2; 34.1°, I 23, hkl 1 -2 2

```
data_CsAgBiCl6
_space_group_name_H-M_alt 'P 1'
_space_group_IT_number 1
_space_group_name_Hall 'P 1'
_cell_length_a 7.0156
_cell_length_b 7.0384
_cell_length_c 7.6774
_cell_angle_alpha 91.80
_cell_angle_beta 92.06
_cell_angle_gamma 116.88
loop_
_atom_site_label
_atom_site_type_symbol
_atom_site_fract_x
_atom_site_fract_y
_atom_site_fract_z
_atom_site_occupancy
Cs1 Cs 0.0000 0.0000 0.0000 1
Ag1 Ag 0.3198 0.6797 0.4995 1
Bi1 Bi 0.6588 0.3393 0.4989 1
Cl1 Cl 0.3537 0.4170 0.2945 1
Cl2 Cl 0.3547 0.0049 0.6727 1
Cl3 Cl 0.5854 0.6456 0.7032 1
Cl4 Cl 0.6223 0.0399 0.2691 1
Cl5 Cl 0.9621 0.3727 0.7255 1
Cl6 Cl 0.9926 0.6453 0.3263 1
```